# Fe3PdCl9
Theoretical PXRD pattern, Cu Kα (λ = 1.5418 Å). Input: a DFT-relaxed cell (GGA-PBE, Alexandria).

Cell and atoms:
Lattice parameters (Å, degrees): 9.098 9.440 10.865 82.74 77.65 65.16
Fractional coordinates of all 26 atoms:
Fe 0.000 0.000 0.000
Fe 0.090 0.679 0.287
Fe 0.332 0.163 0.964
Fe 0.467 0.927 0.465
Fe 0.672 0.794 0.774
Fe 0.773 0.470 0.345
Pd 0.069 0.866 0.629
Pd 0.566 0.407 0.102
Cl 0.023 0.471 0.364
Cl 0.149 0.891 0.819
Cl 0.161 0.063 0.102
Cl 0.193 0.034 0.522
Cl 0.227 0.267 0.799
Cl 0.351 0.345 0.064
Cl 0.361 0.610 0.233
Cl 0.544 0.021 0.285
Cl 0.565 0.659 0.473
Cl 0.576 0.618 0.816
Cl 0.576 0.980 0.616
Cl 0.588 0.955 0.942
Cl 0.760 0.258 0.432
Cl 0.763 0.497 0.139
Cl 0.778 0.212 0.965
Cl 0.948 0.694 0.733
Cl 0.954 0.796 0.121
Cl 0.991 0.853 0.435

Principal peaks in the range 2θ from 5° to 70°, sorted by position:
2θ/deg	d_spacing	I_rel
10.33	8.560	28
13.56	6.530	100
17.84	4.971	32
18.31	4.847	38
19.33	4.593	24
20.05	4.430	40
20.37	4.360	25
21.88	4.062	18
22.04	4.033	19
23.25	3.826	20

# Pm2FeCl
Theoretical PXRD pattern, Cu Kα (λ = 1.5418 Å). Input: a DFT-relaxed cell (GGA-PBE, Alexandria).

Cell and atoms:
Lattice parameters (Å, degrees): 8.084 8.084 8.084 27.56 27.56 27.56
Fractional coordinates of all 4 atoms:
Pm 0.237 0.237 0.237
Pm 0.763 0.763 0.763
Fe 0.500 0.500 0.500
Cl 0.000 0.000 0.000

Principal peaks in the range 2θ from 5° to 70°, sorted by position:
2θ/deg	d_spacing	I_rel
11.39	7.772	21
22.89	3.886	13
27.82	3.206	35
30.89	2.895	100
38.19	2.357	13
41.13	2.195	35
47.20	1.926	33
51.06	1.789	11
57.48	1.603	16
68.62	1.368	9

# RbPmFeCl6
Theoretical PXRD pattern, Cu Kα (λ = 1.5418 Å). Input: a DFT-relaxed cell (GGA-PBE, Alexandria).

Cell and atoms:
Lattice parameters (Å, degrees): 6.842 6.842 7.314 90.06 90.06 120.02
Fractional coordinates of all 9 atoms:
Rb 0.000 0.000 0.000
Pm 0.666 0.334 0.500
Fe 0.333 0.667 0.500
Cl 0.025 0.385 0.702
Cl 0.025 0.638 0.297
Cl 0.362 0.975 0.703
Cl 0.364 0.388 0.295
Cl 0.612 0.636 0.705
Cl 0.615 0.975 0.298

Principal peaks in the range 2θ from 5° to 70°, sorted by position:
2θ/deg	d_spacing	I_rel
12.10	7.314	38
19.28	4.604	100
26.05	3.421	20
28.81	3.098	30
32.61	2.746	22
35.95	2.498	69
39.99	2.255	12
42.21	2.141	28
45.95	1.975	23
57.48	1.603	12

# FePt2Cl
Theoretical PXRD pattern, Cu Kα (λ = 1.5418 Å). Input: a DFT-relaxed cell (GGA-PBE, Alexandria).

Cell and atoms:
Lattice parameters (Å, degrees): 9.383 9.383 9.383 17.66 17.66 17.66
Fractional coordinates of all 4 atoms:
Fe 0.000 0.000 0.000
Pt 0.489 0.489 0.489
Pt 0.740 0.740 0.740
Cl 0.273 0.273 0.273

Principal peaks in the range 2θ from 5° to 70°, sorted by position:
2θ/deg	d_spacing	I_rel
9.58	9.235	100
29.01	3.078	12
36.15	2.485	14
38.35	2.347	62
39.01	2.309	15
39.62	2.275	13
42.85	2.110	12
44.77	2.024	35
64.72	1.440	14
65.62	1.423	14

# Rb2Fe3Cl9
Theoretical PXRD pattern, Cu Kα (λ = 1.5418 Å). Input: a DFT-relaxed cell (GGA-PBE, Alexandria).

Cell and atoms:
Lattice parameters (Å, degrees): 10.078 10.078 10.414 106.52 106.52 110.20
Fractional coordinates of all 28 atoms:
Rb 0.095 0.771 0.704
Rb 0.229 0.905 0.296
Rb 0.771 0.095 0.704
Rb 0.905 0.229 0.296
Fe 0.208 0.446 0.808
Fe 0.358 0.358 0.164
Fe 0.446 0.208 0.808
Fe 0.554 0.792 0.192
Fe 0.642 0.642 0.836
Fe 0.792 0.554 0.192
Cl 0.030 0.597 0.348
Cl 0.140 0.343 0.972
Cl 0.199 0.199 0.670
Cl 0.233 0.233 0.273
Cl 0.292 0.708 0.000
Cl 0.343 0.140 0.972
Cl 0.370 0.571 0.711
Cl 0.403 0.970 0.652
Cl 0.429 0.630 0.289
Cl 0.571 0.370 0.711
Cl 0.597 0.030 0.348
Cl 0.630 0.429 0.289
Cl 0.657 0.860 0.028
Cl 0.708 0.292 0.000
Cl 0.767 0.767 0.727
Cl 0.801 0.801 0.330
Cl 0.860 0.657 0.028
Cl 0.970 0.403 0.652

Principal peaks in the range 2θ from 5° to 70°, sorted by position:
2θ/deg	d_spacing	I_rel
10.80	8.193	54
18.65	4.758	45
18.79	4.722	37
19.65	4.518	85
23.52	3.782	67
29.05	3.074	29
31.60	2.831	39
32.62	2.745	100
37.34	2.408	47
38.19	2.357	58

# Rb6Fe3Cl14
Theoretical PXRD pattern, Cu Kα (λ = 1.5418 Å). Input: a DFT-relaxed cell (GGA-PBE, Alexandria).

Cell and atoms:
Lattice parameters (Å, degrees): 11.664 11.664 6.606 90.00 90.00 120.00
Fractional coordinates of all 23 atoms:
Rb 0.030 0.459 0.000
Rb 0.299 0.208 0.508
Rb 0.429 0.970 0.000
Rb 0.541 0.571 0.000
Rb 0.792 0.091 0.508
Rb 0.909 0.701 0.508
Fe 0.000 0.000 0.073
Fe 0.333 0.667 0.571
Fe 0.667 0.333 0.736
Cl 0.000 0.000 0.732
Cl 0.065 0.205 0.194
Cl 0.140 0.935 0.194
Cl 0.199 0.739 0.692
Cl 0.261 0.461 0.692
Cl 0.333 0.667 0.230
Cl 0.480 0.269 0.934
Cl 0.539 0.801 0.692
Cl 0.543 0.146 0.540
Cl 0.603 0.457 0.540
Cl 0.731 0.211 0.934
Cl 0.789 0.520 0.934
Cl 0.795 0.860 0.194
Cl 0.854 0.397 0.540

Principal peaks in the range 2θ from 5° to 70°, sorted by position:
2θ/deg	d_spacing	I_rel
16.03	5.529	28
20.31	4.372	42
22.15	4.012	100
26.98	3.305	42
29.78	3.000	42
31.94	2.802	35
32.38	2.764	25
34.78	2.579	52
35.95	2.498	30
42.30	2.137	23

# Rb4FeSbCl12
Theoretical PXRD pattern, Cu Kα (λ = 1.5418 Å). Input: a DFT-relaxed cell (GGA-PBE, Alexandria).

Cell and atoms:
Lattice parameters (Å, degrees): 7.226 7.226 10.382 90.00 90.00 90.00
Fractional coordinates of all 18 atoms:
Rb 0.000 0.500 0.233
Rb 0.000 0.500 0.767
Rb 0.500 0.000 0.233
Rb 0.500 0.000 0.767
Fe 0.000 0.000 0.000
Sb 0.500 0.500 0.500
Cl 0.000 0.000 0.219
Cl 0.000 0.000 0.781
Cl 0.223 0.223 0.000
Cl 0.223 0.777 0.000
Cl 0.255 0.255 0.500
Cl 0.255 0.745 0.500
Cl 0.500 0.500 0.257
Cl 0.500 0.500 0.743
Cl 0.745 0.255 0.500
Cl 0.745 0.745 0.500
Cl 0.777 0.223 0.000
Cl 0.777 0.777 0.000

Principal peaks in the range 2θ from 5° to 70°, sorted by position:
2θ/deg	d_spacing	I_rel
14.94	5.931	86
24.44	3.641	73
24.64	3.613	37
30.14	2.965	100
34.56	2.595	41
35.13	2.555	86
43.26	2.091	30
50.10	1.821	51
50.52	1.807	27
62.66	1.483	25

# Rb2TlFeCl6
Theoretical PXRD pattern, Cu Kα (λ = 1.5418 Å). Input: a DFT-relaxed cell (GGA-PBE, Alexandria).

Cell and atoms:
Lattice parameters (Å, degrees): 7.433 7.523 12.893 90.00 124.78 90.00
Fractional coordinates of all 20 atoms:
Rb 0.237 0.047 0.248
Rb 0.237 0.453 0.748
Rb 0.763 0.547 0.252
Rb 0.763 0.953 0.752
Tl 0.500 0.000 0.000
Tl 0.500 0.500 0.500
Fe 0.000 0.000 0.500
Fe 0.000 0.500 0.000
Cl 0.141 0.248 0.969
Cl 0.141 0.252 0.469
Cl 0.219 0.675 0.968
Cl 0.219 0.825 0.468
Cl 0.273 0.008 0.713
Cl 0.273 0.492 0.213
Cl 0.727 0.508 0.787
Cl 0.727 0.992 0.287
Cl 0.781 0.175 0.532
Cl 0.781 0.325 0.032
Cl 0.859 0.748 0.531
Cl 0.859 0.752 0.031

Principal peaks in the range 2θ from 5° to 70°, sorted by position:
2θ/deg	d_spacing	I_rel
16.76	5.290	45
23.70	3.755	100
23.88	3.726	100
27.89	3.199	26
28.04	3.183	29
33.89	2.645	93
36.87	2.438	17
41.69	2.166	38
42.12	2.146	27
48.81	1.866	17

# Fe2ReCl
Theoretical PXRD pattern, Cu Kα (λ = 1.5418 Å). Input: a DFT-relaxed cell (GGA-PBE, Alexandria).

Cell and atoms:
Lattice parameters (Å, degrees): 2.790 2.823 7.385 90.00 90.00 90.00
Fractional coordinates of all 4 atoms:
Fe 0.000 0.000 0.232
Fe 0.000 0.000 0.768
Re 0.500 0.500 0.000
Cl 0.500 0.000 0.500

Principal peaks in the range 2θ from 5° to 70°, sorted by position:
2θ/deg	d_spacing	I_rel
11.98	7.385	100
34.00	2.637	30
34.36	2.610	12
40.21	2.243	31
40.53	2.226	48
45.73	1.984	22
47.44	1.916	29
49.10	1.855	16
49.36	1.846	21
69.55	1.352	11

# FeSiCl
Theoretical PXRD pattern, Cu Kα (λ = 1.5418 Å). Input: a DFT-relaxed cell (GGA-PBE, Alexandria).

Cell and atoms:
Lattice parameters (Å, degrees): 3.089 4.351 9.046 103.19 90.46 110.75
Fractional coordinates of all 6 atoms:
Fe 0.112 0.229 0.426
Fe 0.888 0.771 0.574
Si 0.388 0.781 0.377
Si 0.612 0.219 0.623
Cl 0.169 0.353 0.181
Cl 0.831 0.647 0.819

Principal peaks in the range 2θ from 5° to 70°, sorted by position:
2θ/deg	d_spacing	I_rel
10.09	8.766	100
26.99	3.303	8
31.10	2.876	6
33.57	2.669	9
33.74	2.656	9
41.93	2.155	6
46.06	1.971	12
49.84	1.830	6
50.03	1.823	6
50.27	1.815	8